1.
Theoretical X-ray powder pattern
Compound: LiNiPO4
Radiation: a wavelength of 1.5418 Å
Structure: a GGA+U-relaxed structure
Kinematic intensities with the Lorentz-polarization factor, no thermal factor.

Cell and atoms:
```
data_LiNiPO4
_cell_length_a 4.9754
_cell_length_b 4.9772
_cell_length_c 8.2581
_cell_angle_alpha 107.49
_cell_angle_beta 90.03
_cell_angle_gamma 119.94
_space_group_name_H-M_alt 'P -1'
_space_group_IT_number 2
loop_
_space_group_symop_operation_xyz
'x,y,z'
'-x,-y,-z'
loop_
_atom_site_label
_atom_site_type_symbol
_atom_site_fract_x
_atom_site_fract_y
_atom_site_fract_z
Li1 Li 0.1463 0.2928 0.4398
Ni1 Ni 0.2730 0.5453 0.8181
P1 P 0.4203 0.8415 0.2620
O1 O 0.1316 0.6039 0.3271
O2 O 0.2764 0.1445 0.6727
O3 O 0.3531 0.7090 0.0638
O4 O 0.4719 0.1954 0.3272
```

Main lines, by angle (2θ from 10° to 80°):
2θ/deg, I (rel.)
20.96, 100
21.99, 70
22.97, 71
25.74, 15
34.09, 55
36.09, 74
37.97, 47
43.21, 29
50.97, 31
55.67, 20
63.62, 15
64.89, 28



2.
Theoretical X-ray powder pattern
Compound: Li6Ni3SnP6O24
Radiation: a wavelength of 1.5418 Å
Structure: a GGA+U-relaxed structure
Kinematic intensities with the Lorentz-polarization factor, no thermal factor.

Cell and atoms:
```
data_Li6Ni3SnP6O24
_cell_length_a 8.5755
_cell_length_b 8.6399
_cell_length_c 8.6403
_cell_angle_alpha 61.92
_cell_angle_beta 62.05
_cell_angle_gamma 62.13
_space_group_name_H-M_alt 'P 1'
_space_group_IT_number 1
loop_
_space_group_symop_operation_xyz
'x,y,z'
loop_
_atom_site_label
_atom_site_type_symbol
_atom_site_fract_x
_atom_site_fract_y
_atom_site_fract_z
Li1 Li 0.0000 0.0000 0.0000
Li2 Li 0.0909 0.4905 0.9595
Li3 Li 0.2780 0.8631 0.6537
Li4 Li 0.5600 0.6836 0.2943
Li5 Li 0.7363 0.3502 0.1383
Li6 Li 0.9022 0.1509 0.4879
Ni1 Ni 0.3977 0.9929 0.7988
Ni2 Ni 0.6146 0.2024 0.0077
Ni3 Ni 0.9032 0.4954 0.3020
Sn1 Sn 0.1120 0.6997 0.5077
P1 P 0.0054 0.2935 0.7008
P2 P 0.2063 0.0968 0.1908
P3 P 0.3099 0.5946 0.0975
P4 P 0.5084 0.3891 0.6068
P5 P 0.7006 0.8982 0.4031
P6 P 0.8042 0.8059 0.9067
O1 O 0.0039 0.7565 0.7556
O2 O 0.0230 0.2655 0.2097
O3 O 0.0729 0.4507 0.6615
O4 O 0.1488 0.5362 0.1330
O5 O 0.1584 0.1013 0.7248
O6 O 0.1721 0.9479 0.3947
O7 O 0.2118 0.0360 0.0469
O8 O 0.2746 0.6535 0.2602
O9 O 0.3132 0.7611 0.9154
O10 O 0.3596 0.5908 0.5693
O11 O 0.3795 0.1347 0.1459
O12 O 0.4428 0.2362 0.6417
O13 O 0.4989 0.4417 0.0798
O14 O 0.5115 0.9243 0.5574
O15 O 0.5590 0.3554 0.7682
O16 O 0.6411 0.8558 0.8493
O17 O 0.6715 0.4015 0.4190
O18 O 0.7055 0.0797 0.2380
O19 O 0.7302 0.7373 0.3497
O20 O 0.8022 0.9579 0.9525
O21 O 0.8096 0.6184 0.0719
O22 O 0.8543 0.2780 0.8938
O23 O 0.8614 0.8557 0.4696
O24 O 0.9443 0.3270 0.5444
```

Main lines, by angle (2θ from 10° to 80°):
2θ/deg, I (rel.)
14.32, 45
19.99, 87
20.58, 89
20.73, 44
23.75, 100
23.90, 50
28.94, 42
31.05, 27
32.66, 31
32.78, 29
35.00, 63
35.30, 33



3.
Theoretical X-ray powder pattern
Compound: Li4NiSn3P4O16
Radiation: a wavelength of 1.5418 Å
Structure: a GGA+U-relaxed structure
Kinematic intensities with the Lorentz-polarization factor, no thermal factor.

Cell and atoms:
```
data_Li4NiSn3P4O16
_cell_length_a 4.8454
_cell_length_b 6.7420
_cell_length_c 10.9825
_cell_angle_alpha 90.00
_cell_angle_beta 91.11
_cell_angle_gamma 90.00
_space_group_name_H-M_alt 'P 1 m 1'
_space_group_IT_number 6
loop_
_space_group_symop_operation_xyz
'x,y,z'
'x,-y,z'
loop_
_atom_site_label
_atom_site_type_symbol
_atom_site_fract_x
_atom_site_fract_y
_atom_site_fract_z
Li1 Li 0.0000 0.2374 0.0000
Li2 Li 0.4838 0.2505 0.4808
Ni1 Ni 0.9604 0.5000 0.2640
Sn1 Sn 0.0303 0.0000 0.6955
Sn2 Sn 0.4491 0.0000 0.2076
Sn3 Sn 0.5082 0.5000 0.7714
P1 P 0.0688 0.5000 0.5508
P2 P 0.3643 0.5000 0.0946
P3 P 0.5962 0.0000 0.9145
P4 P 0.8959 0.0000 0.4034
O1 O 0.1901 0.5000 0.4202
O2 O 0.1983 0.3170 0.6206
O3 O 0.2116 0.0000 0.4212
O4 O 0.2198 0.3197 0.1578
O5 O 0.2592 0.5000 0.9590
O6 O 0.2825 0.0000 0.9313
O7 O 0.6807 0.5000 0.1094
O8 O 0.7059 0.1855 0.8437
O9 O 0.7473 0.0000 0.5309
O10 O 0.7524 0.0000 0.0411
O11 O 0.7519 0.5000 0.5520
O12 O 0.7823 0.1875 0.3338
```

Main lines, by angle (2θ from 10° to 80°):
2θ/deg, I (rel.)
16.14, 56
20.18, 26
23.91, 85
24.15, 95
26.44, 100
31.13, 21
33.17, 65
33.71, 61
35.30, 41
45.31, 22
48.94, 25
52.64, 32



4.
Theoretical X-ray powder pattern
Compound: Li4TiNi3Sn2P6O24
Radiation: a wavelength of 1.5418 Å
Structure: a GGA+U-relaxed structure
Kinematic intensities with the Lorentz-polarization factor, no thermal factor.

Cell and atoms:
```
data_Li4TiNi3Sn2P6O24
_cell_length_a 8.4413
_cell_length_b 8.5124
_cell_length_c 9.1407
_cell_angle_alpha 62.85
_cell_angle_beta 89.67
_cell_angle_gamma 60.33
_space_group_name_H-M_alt 'P 1'
_space_group_IT_number 1
loop_
_space_group_symop_operation_xyz
'x,y,z'
loop_
_atom_site_label
_atom_site_type_symbol
_atom_site_fract_x
_atom_site_fract_y
_atom_site_fract_z
Li1 Li 0.0000 0.0000 0.0000
Li2 Li 0.0986 0.0059 0.4802
Li3 Li 0.4917 0.3656 0.4822
Li4 Li 0.7616 0.7377 0.4890
Ti1 Ti 0.5396 0.5248 0.7712
Ni1 Ni 0.0734 0.4681 0.3204
Ni2 Ni 0.2408 0.1283 0.8576
Ni3 Ni 0.7389 0.1160 0.3680
Sn1 Sn 0.3875 0.8687 0.2528
Sn2 Sn 0.9205 0.7353 0.8991
P1 P 0.1533 0.5960 0.5824
P2 P 0.3587 0.6003 0.0823
P3 P 0.4368 0.0131 0.5808
P4 P 0.6458 0.0275 0.0754
P5 P 0.8568 0.3042 0.5908
P6 P 0.9390 0.3036 0.0851
O1 O 0.0032 0.1603 0.7682
O2 O 0.1351 0.1792 0.0562
O3 O 0.1768 0.4170 0.7506
O4 O 0.1931 0.5641 0.0968
O5 O 0.2094 0.5359 0.4438
O6 O 0.2444 0.1468 0.4401
O7 O 0.2785 0.8200 0.0654
O8 O 0.2913 0.6613 0.6148
O9 O 0.4058 0.6204 0.9137
O10 O 0.4118 0.0005 0.7481
O11 O 0.5051 0.9717 0.0434
O12 O 0.5273 0.4335 0.2419
O13 O 0.5420 0.7796 0.6132
O14 O 0.5677 0.0913 0.5219
O15 O 0.5851 0.2478 0.9251
O16 O 0.6460 0.0105 0.2494
O17 O 0.6522 0.4145 0.6161
O18 O 0.7848 0.4222 0.9174
O19 O 0.8497 0.8651 0.0786
O20 O 0.8673 0.1657 0.5234
O21 O 0.8808 0.4844 0.4635
O22 O 0.9292 0.4726 0.1187
O23 O 0.9309 0.1343 0.2401
O24 O 0.9508 0.7918 0.5213
```

Main lines, by angle (2θ from 10° to 80°):
2θ/deg, I (rel.)
20.87, 100
21.05, 50
23.63, 40
23.93, 30
24.04, 39
30.76, 28
30.90, 33
31.12, 39
31.34, 47
31.44, 30
36.45, 27
36.75, 30



5.
Theoretical X-ray powder pattern
Compound: Li6TiNi3P6O24
Radiation: a wavelength of 1.5418 Å
Structure: a GGA+U-relaxed structure
Kinematic intensities with the Lorentz-polarization factor, no thermal factor.

Cell and atoms:
```
data_Li6TiNi3P6O24
_cell_length_a 8.6019
_cell_length_b 8.6395
_cell_length_c 8.6588
_cell_angle_alpha 61.41
_cell_angle_beta 61.28
_cell_angle_gamma 61.18
_space_group_name_H-M_alt 'P 1'
_space_group_IT_number 1
loop_
_space_group_symop_operation_xyz
'x,y,z'
loop_
_atom_site_label
_atom_site_type_symbol
_atom_site_fract_x
_atom_site_fract_y
_atom_site_fract_z
Li1 Li 0.0000 0.0000 0.0000
Li2 Li 0.0934 0.5116 0.8576
Li3 Li 0.2648 0.8638 0.6541
Li4 Li 0.4498 0.7090 0.3077
Li5 Li 0.7209 0.3504 0.1417
Li6 Li 0.9003 0.0530 0.5108
Ti1 Ti 0.8926 0.4979 0.3056
Ni1 Ni 0.0979 0.7046 0.5100
Ni2 Ni 0.3864 0.9955 0.7987
Ni3 Ni 0.6012 0.2101 0.0114
P1 P 0.1946 0.1026 0.1954
P2 P 0.2940 0.6025 0.1131
P3 P 0.4964 0.3984 0.6100
P4 P 0.6975 0.9036 0.4075
P5 P 0.7899 0.8121 0.9127
P6 P 0.9939 0.3097 0.7063
O1 O 0.0539 0.4629 0.6812
O2 O 0.1293 0.5298 0.1789
O3 O 0.1495 0.1170 0.7108
O4 O 0.1907 0.0703 0.0380
O5 O 0.2002 0.9297 0.3773
O6 O 0.2703 0.7738 0.9373
O7 O 0.2760 0.6498 0.2728
O8 O 0.3227 0.5793 0.6141
O9 O 0.3593 0.1605 0.1398
O10 O 0.4679 0.2250 0.6371
O11 O 0.4850 0.4515 0.0755
O12 O 0.5100 0.9062 0.5658
O13 O 0.5638 0.3510 0.7655
O14 O 0.6091 0.8443 0.8951
O15 O 0.6414 0.4528 0.4098
O16 O 0.6853 0.0885 0.2439
O17 O 0.7569 0.7366 0.3415
O18 O 0.7818 0.9596 0.9704
O19 O 0.8415 0.2796 0.8994
O20 O 0.8451 0.6095 0.0567
O21 O 0.8563 0.8770 0.4633
O22 O 0.9228 0.3696 0.5443
O23 O 0.9663 0.8074 0.7327
O24 O 0.9978 0.2522 0.2597
```

Main lines, by angle (2θ from 10° to 80°):
2θ/deg, I (rel.)
14.37, 46
20.14, 42
20.24, 20
20.55, 77
20.66, 37
23.85, 100
23.96, 97
28.98, 65
32.70, 58
32.85, 26
35.26, 35
35.46, 36



Question: Which formula does entry 1 have?
Answer: LiNiPO4



Question: Which formula does entry 1 have?
Answer: LiNiPO4